No. 1
# PrSiRu
Simulated powder diffraction line list, Cu Kα (λ = 1.5418 Å). Input: a PBE-relaxed structure.
Peak positions follow from Bragg's law for the DFT cell and can differ from measured ones.

```
PrSiRu
1.0
4.2350 0.0000 0.0000
0.0000 4.2350 0.0000
0.0000 0.0000 7.0809
Pr Si Ru
2 2 2
Cartesian
1.0587 1.0587 1.2740 Pr
3.1762 3.1762 5.8070 Pr
1.0587 1.0587 4.7433 Si
3.1762 3.1762 2.3377 Si
1.0587 3.1762 3.5405 Ru
3.1762 1.0587 3.5405 Ru
```

Principal peaks in the range 2θ from 15° to 90°, by intensity:
39.41°, rel. 100
32.46°, rel. 88
24.49°, rel. 84
42.70°, rel. 68
32.98°, rel. 67
58.56°, rel. 32
54.98°, rel. 31
38.13°, rel. 28

=====

No. 2
# PrSi2Ru
Simulated powder diffraction line list, Cu Kα (λ = 1.5418 Å). Input: a PBE-relaxed structure.
Peak positions follow from Bragg's law for the DFT cell and can differ from measured ones.

```
PrSi2Ru
1.0
4.5264 0.0000 0.0000
0.0000 4.0832 0.0000
-1.7261 0.0000 8.1649
Pr Si Ru
2 4 2
Cartesian
0.0382 1.0208 1.6326 Pr
2.7620 3.0624 6.5323 Pr
-0.0874 3.0624 4.0103 Si
0.5298 1.0208 7.4195 Si
2.2705 3.0624 0.7454 Si
2.8876 1.0208 4.1546 Si
0.6590 1.0208 4.9938 Ru
2.1413 3.0624 3.1711 Ru
```

Principal peaks in the range 2θ from 15° to 90°, by intensity:
30.25°, rel. 100
30.98°, rel. 76
33.21°, rel. 75
34.94°, rel. 66
39.80°, rel. 61
32.77°, rel. 56
29.76°, rel. 50
44.37°, rel. 49

=====

No. 3
# PrSi2Ru2
Simulated powder diffraction line list, Cu Kα (λ = 1.5418 Å). Input: a PBE-relaxed structure.
Peak positions follow from Bragg's law for the DFT cell and can differ from measured ones.

```
PrSi2Ru2
1.0
-2.1164 2.1164 4.9511
2.1164 -2.1164 4.9511
2.1164 2.1164 -4.9511
Pr Si Ru
1 2 2
Cartesian
0.0000 0.0000 0.0000 Pr
0.0000 0.0000 3.5958 Si
0.0000 0.0000 6.3064 Si
2.1164 0.0000 2.4755 Ru
0.0000 2.1164 2.4755 Ru
```

Principal peaks in the range 2θ from 15° to 90°, by intensity:
35.03°, rel. 100
42.72°, rel. 41
34.46°, rel. 33
22.85°, rel. 27
73.26°, rel. 23
64.47°, rel. 20
57.27°, rel. 18
36.29°, rel. 17